Calculated X-ray diffraction stick pattern of Na2UCuS4 for Cu Kα (λ = 1.5418 Å), from the GGA-PBE geometry in Alexandria.

The 10 most intense peaks (10° ≤ 2θ ≤ 80°), sorted by position:
| hkl | 2θ/deg | I_rel |
| --- | --- | --- |
| 0 0 1 | 13.04 | 100.0 |
| 1 0 0 | 14.93 | 25.2 |
| 1 0 -1 | 16.96 | 17.4 |
| 1 1 0 | 26.77 | 34.4 |
| 1 1 -1 | 27.98 | 21.3 |
| 1 1 1 | 31.69 | 78.3 |
| 2 0 -2 | 34.30 | 29.4 |
| 1 1 -3 | 44.85 | 25.9 |
| 0 2 0 | 45.06 | 14.4 |
| 3 1 -1 | 49.83 | 20.4 |

Structural model:
a b c (Å): 6.1656 4.0237 7.0552
angles (deg): 90.00 105.82 90.00
Space group P2/m (No. 10)
Unique sites:
Na1 0.0000 0.0000 0.0000 (multiplicity 1)
Na2 0.5000 0.5000 0.0000 (multiplicity 1)
U1 0.0000 0.5000 0.5000 (multiplicity 1)
Cu1 0.5000 0.0000 0.5000 (multiplicity 1)
S1 0.2348 0.5000 0.2594 (multiplicity 2)
S2 0.2580 0.0000 0.7036 (multiplicity 2)